Theoretical powder diffractogram of KErPN3 for a wavelength of 1.5418 Å, from a structure optimized by DFT (PBE).
Neutral-atom scattering factors, no anomalous dispersion.

Crystal structure
```
KErPN3
1.0
6.1064 -1.8767 0.0000
6.1064 1.8767 0.0000
-2.1826 0.0000 7.4697
K Er P N
2 2 2 6
Cartesian
1.6570 0.0000 0.4458 K
8.3732 0.0000 7.0240 K
0.5704 0.0000 4.2665 Er
9.4598 0.0000 3.2033 Er
4.3802 0.0000 5.4824 P
5.6500 0.0000 1.9874 P
-0.5396 0.0000 2.2111 N
2.8651 0.0000 4.7397 N
3.9845 0.0000 1.8608 N
6.0457 0.0000 5.6090 N
7.1651 0.0000 2.7300 N
10.5698 0.0000 5.2587 N
```

Main lines, low angle first (2θ from 10° to 90°):
Position (°2θ)  d [Å]  I_rel
11.85  7.470  76
24.91  3.575  13
26.71  3.337  16
30.50  2.931  12
31.82  2.813  21
33.15  2.703  100
45.02  2.014  11
46.73  1.944  9
48.51  1.877  10
59.16  1.562  15

Theoretical powder diffractogram of K2NdErO4 for a wavelength of 1.5418 Å, from a structure optimized by DFT (PBE).
Neutral-atom scattering factors, no anomalous dispersion.

Crystal structure
```
K2NdErO4
1.0
6.1437 0.0000 0.0000
0.0000 3.5466 0.0000
-2.0432 0.0000 6.2828
K Nd Er O
2 1 1 4
Cartesian
0.0000 0.0000 0.0000 K
3.0718 1.7733 0.0000 K
-1.0216 1.7733 3.1414 Nd
2.0502 0.0000 3.1414 Er
0.0761 0.0000 4.3270 O
1.0875 1.7733 1.9731 O
3.0130 1.7733 4.3097 O
4.0244 0.0000 1.9558 O
```

Main lines, low angle first (2θ from 10° to 90°):
Position (°2θ)  d [Å]  I_rel
14.10  6.283  93
28.41  3.141  33
29.46  3.032  37
30.61  2.920  74
34.87  2.573  100
44.76  2.025  20
48.71  1.869  33
51.53  1.773  32
53.71  1.707  19
59.89  1.544  25